The following is a calculated powder diffractogram of Tm2NiGe6. It was derived from DFT lattice parameters and positions (GGA-PBE), using Cu Kα X-rays.

Top 10 peaks for 2θ = 10–80°, by angle:
2theta  I (rel.)
25.63  13
33.70  39
34.05  100
38.14  25
43.67  13
44.59  17
44.94  23
45.48  22
57.77  23
65.85  15

Cell lengths 4.0342, 10.8108, 10.8108 Å; angles 21.26, 90.00, 90.00 degrees
Sites, in units of the cell vectors:
Tm (0.0000, 0.0000, 0.0000)
Tm (0.0000, 0.3382, 0.3382)
Ni (0.5000, 0.5580, 0.5580)
Ge (0.0000, 0.6157, 0.6157)
Ge (0.0000, 0.7341, 0.7341)
Ge (0.5000, 0.1162, 0.1162)
Ge (0.5000, 0.2354, 0.2354)
Ge (0.5000, 0.4500, 0.4500)
Ge (0.5000, 0.8747, 0.8747)